For Rb2USiN4, the PBE geometry in Alexandria gives the simulated X-ray powder pattern in this record (Cu Kα (weighted mean of Kα1 and Kα2)).
Peak positions follow from Bragg's law for the DFT cell and can differ from measured ones.

Top 6 peaks for 15 to 90 degrees two-theta, by angle:
Position (°2θ)	d [Å]	I_rel
17.9	4.969	42
19.0	4.681	48
25.7	3.464	35
28.8	3.102	42
31.7	2.823	100
39.0	2.310	36

Structure:
Cell: 6.204 7.132 6.927 Å, 90.00 90.00 90.00°
Fractional coordinates of all 16 atoms:
Rb1 0.250 0.014 0.219
Rb2 0.250 0.486 0.219
Rb3 0.750 0.514 0.781
Rb4 0.750 0.986 0.781
U1 0.250 0.250 0.698
U2 0.750 0.750 0.302
Si1 0.250 0.750 0.624
Si2 0.750 0.250 0.376
N1 0.019 0.750 0.475
N2 0.250 0.536 0.759
N3 0.250 0.964 0.759
N4 0.481 0.750 0.475
N5 0.519 0.250 0.525
N6 0.750 0.036 0.241
N7 0.750 0.464 0.241
N8 0.981 0.250 0.525


For RbVSi2N, the PBE geometry in Alexandria gives the simulated X-ray powder pattern in this record (Cu Kα (weighted mean of Kα1 and Kα2)).
Peak positions follow from Bragg's law for the DFT cell and can differ from measured ones.

Top 6 peaks for 15 to 90 degrees two-theta, by angle:
Position (°2θ)	d [Å]	I_rel
25.4	3.504	30
34.4	2.606	100
36.3	2.478	57
52.2	1.752	19
60.4	1.532	23
64.0	1.454	32

Structure:
Cell: 4.955 4.955 3.899 Å, 90.00 90.00 90.00°
Fractional coordinates of all 5 atoms:
Rb1 0.000 0.000 0.000
V1 0.500 0.500 0.000
Si1 0.000 0.500 0.500
Si2 0.500 0.000 0.500
N1 0.500 0.500 0.500


For RbSnN, the PBE geometry in Alexandria gives the simulated X-ray powder pattern in this record (Cu Kα (weighted mean of Kα1 and Kα2)).
Peak positions follow from Bragg's law for the DFT cell and can differ from measured ones.

Top 6 peaks for 15 to 90 degrees two-theta, by angle:
Position (°2θ)	d [Å]	I_rel
27.9	3.197	38
30.2	2.959	23
32.6	2.746	100
52.1	1.756	25
52.4	1.745	29
60.1	1.539	27

Structure:
Cell: 3.511 3.511 12.788 Å, 90.00 90.00 120.00°
Fractional coordinates of all 6 atoms:
Rb1 0.333 0.667 0.000
Rb2 0.667 0.333 0.500
Sn1 0.000 0.000 0.257
Sn2 0.000 0.000 0.757
N1 0.333 0.667 0.339
N2 0.667 0.333 0.839


For RbTaW2N, the PBE geometry in Alexandria gives the simulated X-ray powder pattern in this record (Cu Kα (weighted mean of Kα1 and Kα2)).
Peak positions follow from Bragg's law for the DFT cell and can differ from measured ones.

Top 6 peaks for 15 to 90 degrees two-theta, by angle:
Position (°2θ)	d [Å]	I_rel
34.9	2.569	28
35.5	2.530	100
44.0	2.056	30
57.4	1.605	27
63.0	1.476	19
75.4	1.261	23

Structure:
Cell: 4.112 4.112 5.139 Å, 90.00 90.00 90.00°
Fractional coordinates of all 5 atoms:
Rb1 0.000 0.000 0.000
Ta1 0.500 0.500 0.000
W1 0.000 0.500 0.500
W2 0.500 0.000 0.500
N1 0.000 0.000 0.500


For RbTc2N, the PBE geometry in Alexandria gives the simulated X-ray powder pattern in this record (Cu Kα (weighted mean of Kα1 and Kα2)).
Peak positions follow from Bragg's law for the DFT cell and can differ from measured ones.

Top 6 peaks for 15 to 90 degrees two-theta, by angle:
Position (°2θ)	d [Å]	I_rel
17.2	5.168	20
28.2	3.165	34
33.2	2.699	100
34.7	2.584	52
53.2	1.723	35
58.3	1.583	37

Structure:
Cell: 6.328 6.328 6.328 Å, 119.95 119.95 90.08°
Fractional coordinates of all 8 atoms:
Rb1 0.375 0.625 0.750
Rb2 0.625 0.375 0.250
Tc1 0.000 0.000 0.000
Tc2 0.000 0.000 0.500
Tc3 0.000 0.500 0.000
Tc4 0.500 0.000 0.500
N1 0.125 0.875 0.250
N2 0.875 0.125 0.750


For RbYTeN, the PBE geometry in Alexandria gives the simulated X-ray powder pattern in this record (Cu Kα (weighted mean of Kα1 and Kα2)).
Peak positions follow from Bragg's law for the DFT cell and can differ from measured ones.

Top 6 peaks for 15 to 90 degrees two-theta, by angle:
Position (°2θ)	d [Å]	I_rel
27.9	3.195	31
30.8	2.900	55
31.0	2.884	100
31.4	2.845	47
32.6	2.746	64
49.8	1.832	33

Structure:
Cell: 3.665 3.665 8.966 Å, 101.98 101.98 61.52°
Fractional coordinates of all 4 atoms:
Rb1 0.000 0.000 0.000
Y1 0.455 0.455 0.352
Te1 0.219 0.219 0.648
N1 0.757 0.757 0.255


For RbTlN, the PBE geometry in Alexandria gives the simulated X-ray powder pattern in this record (Cu Kα (weighted mean of Kα1 and Kα2)).
Peak positions follow from Bragg's law for the DFT cell and can differ from measured ones.

Top 6 peaks for 15 to 90 degrees two-theta, by angle:
Position (°2θ)	d [Å]	I_rel
28.5	3.136	54
29.9	2.985	50
31.4	2.852	100
31.7	2.824	87
32.2	2.778	28
41.3	2.189	26

Structure:
Cell: 3.761 4.381 10.976 Å, 81.29 80.15 89.99°
Fractional coordinates of all 6 atoms:
Rb1 0.092 0.135 0.317
Rb2 0.908 0.865 0.683
Tl1 0.287 0.277 0.926
Tl2 0.713 0.723 0.074
N1 0.483 0.382 0.535
N2 0.517 0.618 0.465


For RbTmN, the PBE geometry in Alexandria gives the simulated X-ray powder pattern in this record (Cu Kα (weighted mean of Kα1 and Kα2)).
Peak positions follow from Bragg's law for the DFT cell and can differ from measured ones.

Top 6 peaks for 15 to 90 degrees two-theta, by angle:
Position (°2θ)	d [Å]	I_rel
26.3	3.395	43
27.6	3.228	80
30.1	2.970	63
30.5	2.927	100
37.8	2.378	68
45.2	2.006	39

Structure:
Cell: 6.795 3.677 7.184 Å, 90.00 92.31 90.00°
Fractional coordinates of all 6 atoms:
Rb1 0.229 0.250 0.095
Rb2 0.771 0.750 0.905
Tm1 0.180 0.750 0.572
Tm2 0.820 0.250 0.428
N1 0.031 0.250 0.666
N2 0.969 0.750 0.334